(1)
Theoretical powder diffractogram
Compound: Hf4AlZn3
Radiation: Cu Kα (λ = 1.5418 Å)
Structure: a crystal structure in Alexandria, relaxed with GGA-PBE
Intensities are scaled so that the largest is 100.

Structure:
Lattice parameters (Å, degrees): 3.2558 4.7385 9.4663 90.00 90.00 90.00
Space group Pmmm (No. 47)
Asymmetric unit:
Hf 0.0000 0.0000 0.0000 [1 per cell]
Hf 0.0000 0.0000 0.5000 [1 per cell]
Hf 0.0000 0.5000 0.2476 [2 per cell]
Al 0.5000 0.5000 0.5000 [1 per cell]
Zn 0.5000 0.0000 0.2467 [2 per cell]
Zn 0.5000 0.5000 0.0000 [1 per cell]

Largest 10 diffraction maxima, low angle first, 10 to 90 degrees two-theta:
- (0 1 2), 26.62 deg, I = 31
- (1 0 0), 27.39 deg, I = 14
- (0 2 0), 38.00 deg, I = 52
- (1 1 2), 38.57 deg, I = 100
- (1 2 0), 47.48 deg, I = 14
- (0 2 4), 54.83 deg, I = 18
- (2 0 0), 56.53 deg, I = 8
- (1 3 2), 69.03 deg, I = 36
- (2 2 0), 70.16 deg, I = 17
- (2 2 4), 82.68 deg, I = 11

(2)
Theoretical powder diffractogram
Compound: Tb2Dy2YEr
Radiation: Cu Kα (λ = 1.5418 Å)
Structure: a crystal structure in Alexandria, relaxed with GGA-PBE
Intensities are scaled so that the largest is 100.

Structure:
Lattice parameters (Å, degrees): 6.9955 5.6010 9.6605 90.00 90.00 90.00
Space group Pmma (No. 51)
Asymmetric unit:
Tb 0.2500 0.0000 0.1591 [2 per cell]
Tb 0.2500 0.5000 0.6739 [2 per cell]
Dy 0.0000 0.5000 0.0000 [2 per cell]
Dy 0.2500 0.0000 0.8260 [2 per cell]
Y 0.0000 0.0000 0.5000 [2 per cell]
Er 0.2500 0.5000 0.3395 [2 per cell]

Largest 10 diffraction maxima, low angle first, 10 to 90 degrees two-theta:
- (2 0 0), 25.47 deg, I = 13
- (2 0 2), 31.56 deg, I = 100
- (0 2 0), 31.96 deg, I = 39
- (0 1 3), 32.06 deg, I = 77
- (2 2 0), 41.35 deg, I = 22
- (2 2 2), 45.55 deg, I = 24
- (2 3 1), 56.69 deg, I = 13
- (2 1 5), 56.84 deg, I = 25
- (0 3 3), 57.02 deg, I = 15
- (4 2 0), 62.67 deg, I = 34